(1)
Diffraction record for K3Er3BiO8. The powder XRD pattern is computed, not measured: it uses a GGA-PBE-relaxed structure and λ = 1.5418 Å (Cu Kα).

Atomic structure:
```
K3Er3BiO8
1.0
3.4447 1.9888 6.3410
-3.4447 1.9888 6.3410
0.0000 -3.9776 6.3410
K Er Bi O
3 3 1 8
Direct
0.0000 0.5000 0.5000
0.5000 0.0000 0.5000
0.5000 0.5000 0.0000
0.0000 0.0000 0.5000
0.0000 0.5000 0.0000
0.5000 0.0000 0.0000
0.5000 0.5000 0.5000
0.2258 0.2258 0.2258
0.2288 0.7260 0.7260
0.2740 0.2740 0.7712
0.2740 0.7712 0.2740
0.7260 0.2288 0.7260
0.7260 0.7260 0.2288
0.7712 0.2740 0.2740
0.7742 0.7742 0.7742
```

Largest 10 diffraction maxima, by angle, 5 to 70 degrees two-theta:
| 2θ/deg | I/Imax |
| --- | --- |
| 13.97 | 100.0 |
| 28.15 | 26.3 |
| 30.33 | 37.2 |
| 31.43 | 52.7 |
| 35.52 | 69.1 |
| 45.13 | 19.5 |
| 48.99 | 23.9 |
| 53.18 | 21.7 |
| 55.27 | 18.6 |
| 61.25 | 18.5 |

=====

(2)
Diffraction record for NaZnAg2F8. The powder XRD pattern is computed, not measured: it uses a GGA-PBE-relaxed structure and λ = 1.5418 Å (Cu Kα).

Atomic structure:
```
NaZnAg2F8
1.0
-2.6929 2.6929 5.4346
2.6929 -2.6929 5.4346
2.6929 2.6929 -5.4346
Na Zn Ag F
1 1 2 8
Direct
0.0000 0.0000 0.0000
0.7500 0.2500 0.5000
0.2500 0.7500 0.5000
0.5000 0.5000 0.0000
0.0711 0.5640 0.9235
0.1911 0.1064 0.5205
0.3294 0.8089 0.9152
0.4360 0.3595 0.5070
0.5859 0.6706 0.4795
0.6405 0.1475 0.0765
0.8525 0.9289 0.4930
0.8936 0.4141 0.0848
```

Largest 10 diffraction maxima, by angle, 5 to 70 degrees two-theta:
| 2θ/deg | I/Imax |
| --- | --- |
| 18.38 | 28.9 |
| 28.62 | 100.0 |
| 29.72 | 7.0 |
| 33.27 | 10.7 |
| 38.28 | 9.8 |
| 45.21 | 7.2 |
| 47.54 | 44.1 |
| 47.77 | 21.1 |
| 56.23 | 13.9 |
| 56.64 | 27.1 |

=====

(3)
Diffraction record for InCuSn. The powder XRD pattern is computed, not measured: it uses a GGA-PBE-relaxed structure and λ = 1.5418 Å (Cu Kα).

Atomic structure:
```
InCuSn
1.0
4.5449 0.0000 0.0000
0.0000 4.5878 0.0000
0.0000 0.0000 6.4352
In Cu Sn
2 2 2
Direct
0.2500 0.2500 0.0010
0.7500 0.7500 0.9990
0.2500 0.7500 0.2533
0.7500 0.2500 0.7467
0.2500 0.2500 0.4987
0.7500 0.7500 0.5013
```

Largest 10 diffraction maxima, by angle, 5 to 70 degrees two-theta:
| 2θ/deg | I/Imax |
| --- | --- |
| 23.82 | 9.2 |
| 23.97 | 10.0 |
| 27.66 | 58.2 |
| 39.28 | 25.5 |
| 39.54 | 100.0 |
| 39.66 | 24.8 |
| 48.75 | 8.4 |
| 57.05 | 16.8 |
| 57.27 | 8.3 |
| 64.76 | 11.1 |

=====

(4)
Diffraction record for Ca2ThP3Rh12. The powder XRD pattern is computed, not measured: it uses a GGA-PBE-relaxed structure and λ = 1.5418 Å (Cu Kα).

Atomic structure:
```
Ca2ThP3Rh12
1.0
4.4574 2.5735 4.2898
-4.4574 2.5735 4.2898
0.0000 -5.1470 4.2898
Ca Th P Rh
2 1 3 12
Direct
0.1144 0.1144 0.1144
0.8856 0.8856 0.8856
0.5000 0.5000 0.5000
0.0000 0.5000 0.5000
0.5000 0.0000 0.5000
0.5000 0.5000 0.0000
0.1356 0.1356 0.5814
0.1356 0.5814 0.1356
0.1586 0.6828 0.6828
0.3172 0.3172 0.8414
0.3172 0.8414 0.3172
0.4186 0.8644 0.8644
0.5814 0.1356 0.1356
0.6828 0.1586 0.6828
0.6828 0.6828 0.1586
0.8414 0.3172 0.3172
0.8644 0.4186 0.8644
0.8644 0.8644 0.4186
```

Largest 10 diffraction maxima, by angle, 5 to 70 degrees two-theta:
| 2θ/deg | I/Imax |
| --- | --- |
| 13.37 | 13.9 |
| 20.71 | 13.7 |
| 33.73 | 42.8 |
| 36.35 | 17.4 |
| 36.81 | 25.1 |
| 40.47 | 100.0 |
| 41.79 | 13.5 |
| 42.18 | 26.4 |
| 47.08 | 19.9 |
| 59.86 | 19.0 |

=====

(5)
Diffraction record for Pm2Nd2HoEr. The powder XRD pattern is computed, not measured: it uses a GGA-PBE-relaxed structure and λ = 1.5418 Å (Cu Kα).

Atomic structure:
```
Pm2Nd2HoEr
1.0
7.0748 0.0000 0.0000
0.0000 5.7011 0.0000
0.0000 0.0000 9.8818
Pm Nd Ho Er
4 4 2 2
Direct
0.2500 0.0000 0.1626
0.2500 0.5000 0.6688
0.7500 0.0000 0.8374
0.7500 0.5000 0.3312
0.0000 0.5000 0.0000
0.2500 0.0000 0.8224
0.5000 0.5000 0.0000
0.7500 0.0000 0.1776
0.2500 0.5000 0.3414
0.7500 0.5000 0.6586
0.0000 0.0000 0.5000
0.5000 0.0000 0.5000
```

Largest 10 diffraction maxima, by angle, 5 to 70 degrees two-theta:
| 2θ/deg | I/Imax |
| --- | --- |
| 25.18 | 6.0 |
| 31.10 | 92.4 |
| 31.37 | 100.0 |
| 40.64 | 10.0 |
| 44.76 | 33.8 |
| 51.68 | 8.3 |
| 55.67 | 35.3 |
| 55.84 | 19.3 |
| 61.71 | 29.0 |
| 65.46 | 11.8 |

=====

(6)
Diffraction record for Bi3Pd2Pb2. The powder XRD pattern is computed, not measured: it uses a GGA-PBE-relaxed structure and λ = 1.5418 Å (Cu Kα).

Atomic structure:
```
Bi3Pd2Pb2
1.0
11.5476 0.0000 0.0000
0.0000 4.2640 0.0000
-2.8004 0.0000 7.5678
Bi Pd Pb
6 4 4
Direct
0.0000 0.0000 0.0000
0.1274 0.0000 0.4464
0.3726 0.5000 0.5536
0.5000 0.5000 0.0000
0.6274 0.5000 0.4464
0.8726 0.0000 0.5536
0.1649 0.5000 0.2241
0.3351 0.0000 0.7759
0.6649 0.0000 0.2241
0.8351 0.5000 0.7759
0.1649 0.5000 0.8297
0.3351 0.0000 0.1703
0.6649 0.0000 0.8297
0.8351 0.5000 0.1703
```

Largest 10 diffraction maxima, by angle, 5 to 70 degrees two-theta:
| 2θ/deg | I/Imax |
| --- | --- |
| 26.66 | 36.2 |
| 30.50 | 78.4 |
| 31.48 | 100.0 |
| 32.50 | 37.9 |
| 33.27 | 60.2 |
| 34.81 | 84.3 |
| 37.58 | 36.6 |
| 39.83 | 39.3 |
| 42.40 | 51.6 |
| 54.93 | 29.8 |

=====

(7)
Diffraction record for SrH2Br2O7. The powder XRD pattern is computed, not measured: it uses a GGA-PBE-relaxed structure and λ = 1.5418 Å (Cu Kα).

Atomic structure:
```
SrH2Br2O7
1.0
6.5347 -3.8969 0.0000
6.5347 3.8969 0.0000
-6.0972 0.0000 6.6480
Sr H Br O
2 4 4 14
Direct
0.1605 0.8395 0.7500
0.8395 0.1605 0.2500
0.2031 0.7341 0.3015
0.2659 0.7969 0.1985
0.7341 0.2031 0.8015
0.7969 0.2659 0.6985
0.2939 0.3244 0.8112
0.3244 0.2939 0.3112
0.6756 0.7061 0.6888
0.7061 0.6756 0.1888
0.0883 0.2045 0.1664
0.1612 0.8388 0.2500
0.2045 0.0883 0.6664
0.2355 0.3997 0.6414
0.2447 0.5746 0.4150
0.3997 0.2355 0.1414
0.4254 0.7553 0.0850
0.5746 0.2447 0.9150
0.6003 0.7645 0.8586
0.7553 0.4254 0.5850
0.7645 0.6003 0.3586
0.7955 0.9117 0.3336
0.8388 0.1612 0.7500
0.9117 0.7955 0.8336
```

Largest 10 diffraction maxima, by angle, 5 to 70 degrees two-theta:
| 2θ/deg | I/Imax |
| --- | --- |
| 15.02 | 70.2 |
| 19.69 | 39.7 |
| 22.82 | 47.8 |
| 24.76 | 52.7 |
| 26.82 | 88.9 |
| 27.36 | 51.5 |
| 29.49 | 94.4 |
| 30.10 | 100.0 |
| 30.31 | 99.9 |
| 39.99 | 55.2 |

=====

(8)
Diffraction record for La3Y4Tm5. The powder XRD pattern is computed, not measured: it uses a GGA-PBE-relaxed structure and λ = 1.5418 Å (Cu Kα).

Atomic structure:
```
La3Y4Tm5
1.0
7.9572 -2.9876 0.0000
7.9572 2.9876 0.0000
-4.2260 0.0000 8.3806
La Y Tm
3 4 5
Direct
0.0000 0.0000 0.0000
0.2892 0.2892 0.7615
0.7108 0.7108 0.2385
0.2952 0.2952 0.1225
0.4183 0.4183 0.5593
0.5817 0.5817 0.4407
0.7048 0.7048 0.8775
0.0715 0.0715 0.6946
0.1704 0.1704 0.3846
0.5000 0.5000 0.0000
0.8296 0.8296 0.6154
0.9285 0.9285 0.3054
```

Largest 10 diffraction maxima, by angle, 5 to 70 degrees two-theta:
| 2θ/deg | I/Imax |
| --- | --- |
| 24.49 | 28.5 |
| 28.59 | 27.7 |
| 29.21 | 21.3 |
| 29.56 | 26.9 |
| 29.91 | 100.0 |
| 31.47 | 43.9 |
| 32.05 | 64.4 |
| 32.66 | 86.2 |
| 33.34 | 65.2 |
| 43.96 | 35.2 |

=====

(9)
Diffraction record for PaNb2TlO7. The powder XRD pattern is computed, not measured: it uses a GGA-PBE-relaxed structure and λ = 1.5418 Å (Cu Kα).

Atomic structure:
```
PaNb2TlO7
1.0
3.9027 0.0000 0.0000
0.0000 3.9027 0.0000
0.0000 0.0000 11.2742
Pa Nb Tl O
1 2 1 7
Direct
0.0000 0.0000 0.0000
0.5000 0.5000 0.1998
0.5000 0.5000 0.8002
0.0000 0.0000 0.5000
0.0000 0.5000 0.1501
0.0000 0.5000 0.8499
0.5000 0.0000 0.1501
0.5000 0.0000 0.8499
0.5000 0.5000 0.0000
0.5000 0.5000 0.3611
0.5000 0.5000 0.6389
```

Largest 10 diffraction maxima, by angle, 5 to 70 degrees two-theta:
| 2θ/deg | I/Imax |
| --- | --- |
| 7.84 | 20.9 |
| 15.72 | 18.7 |
| 27.80 | 100.0 |
| 32.44 | 37.4 |
| 36.24 | 14.1 |
| 39.44 | 17.9 |
| 46.03 | 21.5 |
| 46.54 | 22.7 |
| 55.08 | 30.6 |
| 62.60 | 9.5 |

=====

(10)
Diffraction record for Sr6Hg3Rh. The powder XRD pattern is computed, not measured: it uses a GGA-PBE-relaxed structure and λ = 1.5418 Å (Cu Kα).

Atomic structure:
```
Sr6Hg3Rh
1.0
7.5071 0.0000 0.0000
0.0000 8.8004 0.0000
-7.4381 0.0000 11.5600
Sr Hg Rh
12 6 2
Direct
0.0895 0.0420 0.2350
0.0895 0.4580 0.7350
0.2090 0.6990 0.0659
0.2090 0.8010 0.5659
0.3934 0.1627 0.0652
0.3934 0.3373 0.5652
0.6066 0.6627 0.4348
0.6066 0.8373 0.9348
0.7910 0.1990 0.4341
0.7910 0.3010 0.9341
0.9105 0.5420 0.2650
0.9105 0.9580 0.7650
0.3061 0.1145 0.7424
0.3061 0.3855 0.2424
0.5000 0.0000 0.5000
0.5000 0.5000 0.0000
0.6939 0.6145 0.7576
0.6939 0.8855 0.2576
0.0000 0.0000 0.0000
0.0000 0.5000 0.5000
```

Largest 10 diffraction maxima, by angle, 5 to 70 degrees two-theta:
| 2θ/deg | I/Imax |
| --- | --- |
| 17.32 | 47.4 |
| 21.83 | 67.0 |
| 21.93 | 60.7 |
| 26.98 | 89.0 |
| 27.87 | 37.5 |
| 28.03 | 59.3 |
| 30.90 | 100.0 |
| 32.78 | 75.2 |
| 33.70 | 41.4 |
| 40.52 | 49.0 |

=====

(11)
Diffraction record for Sm6TlGe2. The powder XRD pattern is computed, not measured: it uses a GGA-PBE-relaxed structure and λ = 1.5418 Å (Cu Kα).

Atomic structure:
```
Sm6TlGe2
1.0
-4.9162 5.0214 5.2640
4.9162 -5.0214 5.2640
4.9162 5.0214 -5.2640
Sm Tl Ge
12 2 4
Direct
0.0434 0.2464 0.7970
0.1818 0.2754 0.4572
0.1818 0.7246 0.9065
0.3245 0.0291 0.7046
0.3245 0.6199 0.2954
0.4493 0.2464 0.2030
0.5507 0.7536 0.7970
0.6755 0.3801 0.7046
0.6755 0.9709 0.2954
0.8182 0.2754 0.0935
0.8182 0.7246 0.5428
0.9566 0.7536 0.2030
0.0000 0.0000 0.0000
0.5000 0.5000 0.0000
0.1201 0.6201 0.5000
0.3590 0.0000 0.3590
0.6410 0.0000 0.6410
0.8799 0.3799 0.5000
```

Largest 10 diffraction maxima, by angle, 5 to 70 degrees two-theta:
| 2θ/deg | I/Imax |
| --- | --- |
| 28.65 | 19.7 |
| 30.60 | 100.0 |
| 32.59 | 31.2 |
| 32.99 | 47.6 |
| 33.49 | 33.5 |
| 34.06 | 15.8 |
| 36.56 | 26.9 |
| 53.49 | 13.7 |
| 54.82 | 13.1 |
| 57.07 | 22.1 |

=====

(12)
Diffraction record for K2Ta2Se5. The powder XRD pattern is computed, not measured: it uses a GGA-PBE-relaxed structure and λ = 1.5418 Å (Cu Kα).

Atomic structure:
```
K2Ta2Se5
1.0
7.6725 -2.4535 0.0000
7.6725 2.4535 0.0000
-1.3951 0.0000 7.9990
K Ta Se
2 2 5
Direct
0.0614 0.0614 0.3027
0.9386 0.9386 0.6973
0.3566 0.3566 0.0996
0.6434 0.6434 0.9004
0.1841 0.1841 0.9911
0.3821 0.3821 0.3947
0.5000 0.5000 0.0000
0.6179 0.6179 0.6053
0.8159 0.8159 0.0089
```

Largest 10 diffraction maxima, by angle, 5 to 70 degrees two-theta:
| 2θ/deg | I/Imax |
| --- | --- |
| 11.06 | 100.0 |
| 14.68 | 55.1 |
| 19.01 | 32.8 |
| 22.23 | 15.8 |
| 22.56 | 41.2 |
| 23.54 | 21.5 |
| 35.46 | 27.5 |
| 36.63 | 28.9 |
| 45.91 | 16.7 |
| 51.90 | 18.4 |